[1]
The following is a calculated powder X-ray diffraction pattern of Y4MgCu8. It was derived from DFT lattice parameters and positions (PBE), using Cu Ka.
No peak broadening, texture or thermal motion is included.

```
13
Lattice="-5.9635 5.9635 1.7509 5.9635 -5.9635 1.7509 5.9635 5.9635 -1.7509" Properties=species:S:1:pos:R:3 pbc="T T T"
Y 2.6115 0.5037 0.0000
Y 5.4598 -3.3520 1.7509
Y 0.5037 9.3155 0.0000
Y 3.3520 5.4598 1.7509
Mg 0.0000 0.0000 1.7509
Cu 5.4561 1.2377 0.0000
Cu 8.4034 2.1981 0.0000
Cu 2.1981 3.5237 0.0000
Cu 4.7258 -0.5074 1.7509
Cu 1.2377 6.4710 0.0000
Cu 3.7654 2.4399 1.7509
Cu -2.4399 3.7654 1.7509
Cu 0.5074 4.7258 1.7509
```

Top 8 peaks for 10° ≤ 2θ ≤ 90°, in order of falling intensity:
| 2θ/deg | I_rel |
| --- | --- |
| 40.45 | 100 |
| 10.49 | 37 |
| 44.28 | 36 |
| 37.40 | 28 |
| 78.88 | 21 |
| 70.84 | 16 |
| 52.25 | 14 |
| 26.53 | 13 |


[2]
The following is a calculated powder X-ray diffraction pattern of SmTmPt. It was derived from DFT lattice parameters and positions (PBE), using Cu Ka.
No peak broadening, texture or thermal motion is included.

```
24
Lattice="6.8252 0.0000 0.0000 0.0000 13.3555 0.0000 0.0000 0.0000 7.1306" Properties=species:S:1:pos:R:3 pbc="T T T"
Sm 1.3335 2.6473 0.7511
Sm 1.3335 4.0305 4.3164
Sm 2.0791 9.3251 0.7511
Sm 2.0791 10.7082 4.3164
Sm 4.7461 2.6473 2.8142
Sm 4.7461 4.0305 6.3795
Sm 5.4916 9.3251 2.8142
Sm 5.4916 10.7082 6.3795
Tm 0.0205 7.0889 5.4312
Tm 0.0205 12.9444 1.8659
Tm 3.3921 0.4112 5.4312
Tm 3.3921 6.2666 1.8659
Tm 3.4331 7.0889 5.2646
Tm 3.4331 12.9444 1.6993
Tm 6.8046 0.4112 5.2646
Tm 6.8046 6.2666 1.6993
Pt 1.5432 8.0382 3.2805
Pt 1.5432 11.9951 6.8457
Pt 1.8694 1.3604 3.2805
Pt 1.8694 5.3174 6.8457
Pt 4.9558 8.0382 0.2848
Pt 4.9558 11.9951 3.8501
Pt 5.2819 1.3604 0.2848
Pt 5.2819 5.3174 3.8501
```

Top 8 peaks for 10° ≤ 2θ ≤ 90°, in order of falling intensity:
| 2θ/deg | I_rel |
| --- | --- |
| 36.45 | 100 |
| 32.38 | 94 |
| 22.41 | 63 |
| 29.39 | 53 |
| 32.02 | 50 |
| 36.88 | 48 |
| 29.54 | 45 |
| 44.67 | 44 |


[3]
The following is a calculated powder X-ray diffraction pattern of CaNd5Hg6. It was derived from DFT lattice parameters and positions (PBE), using Cu Ka.
No peak broadening, texture or thermal motion is included.

```
12
Lattice="2.7043 -8.1131 0.0000 2.7043 8.1131 0.0000 0.0000 0.0000 7.6802" Properties=species:S:1:pos:R:3 pbc="T T T"
Ca 0.0000 0.0000 0.0000
Nd 0.0000 0.0000 3.8401
Nd 2.7043 2.7251 3.8401
Nd 2.7043 2.6597 0.0000
Nd 2.7043 -2.6597 0.0000
Nd 2.7043 -2.7251 3.8401
Hg 2.7043 5.4179 1.8997
Hg 2.7043 5.4179 5.7805
Hg 2.7043 0.0000 1.9193
Hg 2.7043 0.0000 5.7609
Hg 2.7043 -5.4179 1.8997
Hg 2.7043 -5.4179 5.7805
```

Top 8 peaks for 10° ≤ 2θ ≤ 90°, in order of falling intensity:
| 2θ/deg | I_rel |
| --- | --- |
| 33.08 | 100 |
| 59.13 | 26 |
| 59.00 | 13 |
| 47.55 | 12 |
| 79.18 | 11 |
| 69.36 | 8 |
| 47.35 | 6 |
| 23.23 | 6 |


[4]
The following is a calculated powder X-ray diffraction pattern of PmCF. It was derived from DFT lattice parameters and positions (PBE), using Cu Ka.
No peak broadening, texture or thermal motion is included.

```
6
Lattice="3.6248 -1.9163 0.0000 3.6248 1.9163 0.0000 -1.0630 0.0000 6.7254" Properties=species:S:1:pos:R:3 pbc="T T T"
Pm 0.9655 0.0000 1.5282
Pm 5.2211 0.0000 5.1971
C 3.0692 0.0000 0.3772
C 3.1175 0.0000 6.3481
F 0.6890 0.0000 4.0364
F 5.4977 0.0000 2.6890
```

Top 8 peaks for 10° ≤ 2θ ≤ 90°, in order of falling intensity:
| 2θ/deg | I_rel |
| --- | --- |
| 26.34 | 100 |
| 30.47 | 82 |
| 28.68 | 78 |
| 26.51 | 62 |
| 44.73 | 54 |
| 39.16 | 48 |
| 46.96 | 43 |
| 30.05 | 32 |